This entry pairs a crystal structure of CePaAs2Rh5 with its theoretical powder XRD pattern. Radiation: Cu Kα. Structure: DFT lattice parameters and positions (PBE).
Peak positions follow from Bragg's law for the DFT cell and can differ from measured ones.

Cell and atoms:
```
data_CePaAs2Rh5
_space_group_name_H-M_alt 'P 1'
_space_group_IT_number 1
_cell_length_a 4.0174
_cell_length_b 4.0174
_cell_length_c 11.3898
_cell_angle_alpha 90.00
_cell_angle_beta 90.00
_cell_angle_gamma 90.00
loop_
_space_group_symop_operation_xyz
'x,y,z'
loop_
_atom_site_label
_atom_site_fract_x
_atom_site_fract_y
_atom_site_fract_z
Ce1 0.0000 0.0000 0.0000
Pa1 0.0000 0.0000 0.5000
As1 0.5000 0.5000 0.2112
As2 0.5000 0.5000 0.7888
Rh1 0.0000 0.5000 0.3315
Rh2 0.0000 0.5000 0.6685
Rh3 0.5000 0.0000 0.3315
Rh4 0.5000 0.0000 0.6685
Rh5 0.5000 0.5000 0.0000
```

The 12 most intense peaks (15° ≤ 2θ ≤ 90°), low angle first:
d 3.792, intensity 420
d 3.283, intensity 552
d 2.757, intensity 175
d 2.542, intensity 547
d 2.275, intensity 336
d 2.010, intensity 1000
d 1.898, intensity 144
d 1.776, intensity 225
d 1.714, intensity 216
d 1.420, intensity 158
d 1.380, intensity 205
d 1.160, intensity 172

=====

This entry pairs a crystal structure of YSc2Tl2Ag2 with its theoretical powder XRD pattern. Radiation: Cu Kα. Structure: DFT lattice parameters and positions (PBE).
Peak positions follow from Bragg's law for the DFT cell and can differ from measured ones.

Cell and atoms:
```
data_YSc2Tl2Ag2
_space_group_name_H-M_alt 'P 1'
_space_group_IT_number 1
_cell_length_a 8.8236
_cell_length_b 8.8236
_cell_length_c 8.8236
_cell_angle_alpha 31.30
_cell_angle_beta 31.30
_cell_angle_gamma 31.30
loop_
_space_group_symop_operation_xyz
'x,y,z'
loop_
_atom_site_label
_atom_site_fract_x
_atom_site_fract_y
_atom_site_fract_z
Y1 0.0000 0.0000 0.0000
Sc1 0.1361 0.1361 0.1361
Sc2 0.8639 0.8639 0.8639
Tl1 0.2631 0.2631 0.2631
Tl2 0.7369 0.7369 0.7369
Ag1 0.4408 0.4408 0.4408
Ag2 0.5592 0.5592 0.5592
```

The 12 most intense peaks (15° ≤ 2θ ≤ 90°), low angle first:
d 4.192, intensity 288
d 3.448, intensity 662
d 2.709, intensity 770
d 2.380, intensity 1000
d 2.147, intensity 208
d 2.070, intensity 273
d 2.000, intensity 186
d 1.959, intensity 143
d 1.788, intensity 219
d 1.513, intensity 127
d 1.430, intensity 205
d 1.374, intensity 171

=====

This entry pairs a crystal structure of K2Rb4Ge with its theoretical powder XRD pattern. Radiation: Cu Kα. Structure: DFT lattice parameters and positions (PBE).
Peak positions follow from Bragg's law for the DFT cell and can differ from measured ones.

Cell and atoms:
```
data_K2Rb4Ge
_space_group_name_H-M_alt 'P 1'
_space_group_IT_number 1
_cell_length_a 12.3307
_cell_length_b 12.3307
_cell_length_c 12.3307
_cell_angle_alpha 147.21
_cell_angle_beta 147.21
_cell_angle_gamma 47.05
loop_
_space_group_symop_operation_xyz
'x,y,z'
loop_
_atom_site_label
_atom_site_fract_x
_atom_site_fract_y
_atom_site_fract_z
K1 0.1481 0.1481 0.0000
K2 0.8519 0.8519 0.0000
Rb1 0.0000 0.5000 0.5000
Rb2 0.3450 0.3450 0.0000
Rb3 0.5000 0.0000 0.5000
Rb4 0.6550 0.6550 0.0000
Ge1 0.5000 0.5000 0.0000
```

The 12 most intense peaks (15° ≤ 2θ ≤ 90°), low angle first:
d 4.922, intensity 235
d 4.513, intensity 513
d 3.769, intensity 528
d 3.712, intensity 801
d 3.480, intensity 1000
d 2.557, intensity 740
d 2.461, intensity 383
d 2.194, intensity 183
d 2.061, intensity 406
d 2.053, intensity 496
d 1.577, intensity 231
d 1.438, intensity 235

=====

This entry pairs a crystal structure of TlCuAgCl6 with its theoretical powder XRD pattern. Radiation: Cu Kα. Structure: DFT lattice parameters and positions (PBE).
Peak positions follow from Bragg's law for the DFT cell and can differ from measured ones.

Cell and atoms:
```
data_TlCuAgCl6
_space_group_name_H-M_alt 'P 1'
_space_group_IT_number 1
_cell_length_a 6.4940
_cell_length_b 6.4940
_cell_length_c 11.9972
_cell_angle_alpha 90.00
_cell_angle_beta 90.00
_cell_angle_gamma 120.00
loop_
_space_group_symop_operation_xyz
'x,y,z'
loop_
_atom_site_label
_atom_site_fract_x
_atom_site_fract_y
_atom_site_fract_z
Tl1 0.3333 0.6667 0.2500
Tl2 0.6667 0.3333 0.7500
Cu1 0.3333 0.6667 0.7500
Cu2 0.6667 0.3333 0.2500
Ag1 0.0000 0.0000 0.0000
Ag2 0.0000 0.0000 0.5000
Cl1 0.0225 0.3598 0.6308
Cl2 0.0225 0.6626 0.8692
Cl3 0.3374 0.3598 0.8692
Cl4 0.3374 0.9775 0.6308
Cl5 0.3598 0.0225 0.1308
Cl6 0.3598 0.3374 0.3692
Cl7 0.6402 0.6626 0.6308
Cl8 0.6402 0.9775 0.8692
Cl9 0.6626 0.0225 0.3692
Cl10 0.6626 0.6402 0.1308
Cl11 0.9775 0.3374 0.1308
Cl12 0.9775 0.6402 0.3692
```

The 12 most intense peaks (15° ≤ 2θ ≤ 90°), low angle first:
d 5.092, intensity 255
d 4.103, intensity 1000
d 3.259, intensity 135
d 3.247, intensity 336
d 2.856, intensity 360
d 2.546, intensity 284
d 2.203, intensity 769
d 2.004, intensity 290
d 1.875, intensity 350
d 1.428, intensity 167
d 1.171, intensity 121
d 1.136, intensity 161